Record 1
Calculated powder XRD pattern
Compound: HgH2SeCl2
Radiation: CuKα
Structure: a DFT-relaxed cell (GGA-PBE, Alexandria)
Neutral-atom scattering factors, no anomalous dispersion.

Most intense lines, 10 to 90 degrees two-theta, most intense first:
hkl	d_spacing	2θ (°)	I (rel.)
1 1 1	5.189	17.09	100.0
0 2 2	3.182	28.05	50.8
3 1 1	2.705	33.12	25.0
1 1 0	6.289	14.08	22.8
1 1 3	2.753	32.53	22.1
2 2 2	2.595	34.57	21.6
2 0 0	4.483	19.80	20.0
4 2 2	1.832	49.76	19.8
1 3 1	2.674	33.51	19.2
0 0 2	4.592	19.33	19.1
0 2 0	4.412	20.12	16.2
2 0 4	2.044	44.32	16.1

Atomic structure:
Lattice parameters (Å, degrees): 8.966 8.825 9.184 90.00 90.00 90.00
Space group Cmc2_1 (No. 36)
Asymmetric unit:
Hg  0.000  0.235  0.000 [4 per cell]
H  0.118  0.080  0.328 [8 per cell]
Se  0.000  0.009  0.750 [4 per cell]
Cl  0.240  0.225  0.512 [8 per cell]

=====

Record 2
Calculated powder XRD pattern
Compound: TlF3
Radiation: CuKα
Structure: a DFT-relaxed cell (GGA-PBE, Alexandria)
Neutral-atom scattering factors, no anomalous dispersion.

Most intense lines, 10 to 90 degrees two-theta, most intense first:
hkl	d_spacing	2θ (°)	I (rel.)
2 1 1	3.134	28.48	100.0
4 3 1	1.741	52.56	43.2
1 3 0	2.962	30.17	43.1
1 0 1	4.218	21.06	40.8
1 3 2	1.847	49.35	32.7
2 2 0	3.311	26.93	30.1
1 4 1	2.047	44.24	25.7
4 2 0	2.094	43.20	16.1
2 2 2	1.923	47.27	13.6
3 0 1	2.605	34.43	12.9
1 1 0	6.623	13.37	12.7
0 0 2	2.362	38.10	11.5

Atomic structure:
Lattice parameters (Å, degrees): 9.366 9.366 4.724 90.00 90.00 90.00
Space group I-4 (No. 82)
Asymmetric unit:
Tl  0.065  0.280  0.467 [8 per cell]
F  0.045  0.376  0.990 [8 per cell]
F  0.070  0.858  0.715 [8 per cell]
F  0.161  0.773  0.218 [8 per cell]